Calculated powder diffraction line list of Ca4Al6WO16 for Cu Kα, 1.54184 Å, from DFT lattice parameters and positions (PBE+U).
Lines closer than 0.1° are merged.

Top 10 peaks for 5 to 70 degrees two-theta, low angle first:
d/Å  Position (°2θ)  I (rel.)  (hkl)
6.306  14.05  100  1 1 1
5.236  16.93  10  0 0 2
3.908  22.76  29  0 2 2
3.238  27.55  25  3 1 1
3.153  28.31  23  2 2 2
2.553  35.15  12  3 3 1
2.531  35.47  10  1 3 3
2.350  38.30  13  2 0 4
2.102  43.03  13  3 3 3
1.927  47.17  13  3 5 1

Structural model:
abc: 10.6719 11.7443 10.4713
angles: 90.00 90.00 90.00
Space group Fmm2 (No. 42)
Unique sites:
Ca: 0.0000 0.1940 0.0000
Ca: 0.1915 0.0000 0.3363
Al: 0.1749 0.1503 0.6144
Al: 0.2500 0.2500 0.3346
W: 0.0000 0.0000 0.7594
O: 0.0000 0.1262 0.6324
O: 0.1239 0.1095 0.8432
O: 0.1561 0.1708 0.4462
O: 0.1638 0.1877 0.1781
O: 0.1918 0.0000 0.6397